Starting from a crystal structure in Alexandria, relaxed with GGA-PBE, the X-ray powder pattern of CuP4Se4I was calculated for CuKα.
Peak positions follow from Bragg's law for the DFT cell and can differ from measured ones.

Peak list (10 most intense, 15° ≤ 2θ ≤ 90°, low angle first)
two_theta, intensity
16.7, 34
23.1, 52
27.7, 98
27.9, 100
30.1, 29
30.9, 59
33.9, 23
38.9, 23
47.7, 39
51.8, 23

Crystal structure
```
CuP4Se4I
1.0
7.4774 -6.6997 0.0000
7.4774 6.6997 0.0000
0.0000 0.0000 12.5206
Cu P Se I
4 16 16 4
Direct
0.1015 0.1015 0.0000
0.3985 0.3985 0.5000
0.6015 0.6015 0.5000
0.8985 0.8985 0.0000
0.0377 0.7431 0.7469
0.1387 0.2280 0.1442
0.2280 0.1387 0.8558
0.2431 0.5377 0.2469
0.2569 0.9623 0.7469
0.2720 0.3613 0.3558
0.3613 0.2720 0.6442
0.4623 0.7569 0.2469
0.5377 0.2431 0.7531
0.6387 0.7280 0.3558
0.7280 0.6387 0.6442
0.7431 0.0377 0.2531
0.7569 0.4623 0.7531
0.7720 0.8613 0.1442
0.8613 0.7720 0.8558
0.9623 0.2569 0.2531
0.0399 0.9601 0.6889
0.0514 0.3547 0.3996
0.1453 0.4486 0.1004
0.1784 0.3216 0.7500
0.3216 0.1784 0.2500
0.3547 0.0514 0.6004
0.4486 0.1453 0.8996
0.4601 0.5399 0.1889
0.5399 0.4601 0.8111
0.5514 0.8547 0.1004
0.6453 0.9486 0.3996
0.6784 0.8216 0.7500
0.8216 0.6784 0.2500
0.8547 0.5514 0.8996
0.9486 0.6453 0.6004
0.9601 0.0399 0.3111
0.1585 0.8415 0.0370
0.3415 0.6585 0.5370
0.6585 0.3415 0.4630
0.8415 0.1585 0.9630
```